Starting from a cell relaxed with PBE+U, the powder diffractogram of LiVSiO4 was simulated for Cu Ka.
Lines closer than 0.1° are merged.

Atomic structure:
```
LiVSiO4
1.0
8.6566 0.0000 0.0000
0.0000 5.2348 0.0000
-2.6511 0.0000 8.1693
Li V Si O
4 4 4 16
Cartesian
0.0000 0.8982 0.0000
-1.3255 4.3366 4.0846
3.2733 1.6746 2.8004
1.9478 3.5602 6.8850
0.0572 0.9213 6.2092
1.3827 4.3135 2.1246
6.0348 1.7024 0.8452
4.7092 3.5324 4.9298
0.0073 1.6659 3.0534
-1.3183 3.5690 7.1381
3.3508 0.9638 6.0029
4.6763 4.2710 1.9183
-0.6000 0.9490 4.4032
0.7255 4.2858 0.3186
-1.1092 1.9518 7.3671
0.2163 3.2830 3.2825
1.4546 0.9417 2.6908
0.1290 4.2931 6.7755
1.8631 1.5737 6.3875
3.1887 3.6611 2.3028
4.5946 0.6479 1.6037
3.2690 4.5869 5.6883
3.9773 1.7582 4.7037
5.3028 3.4766 0.6191
4.2710 1.2767 7.3307
5.5965 3.9581 3.2461
7.6936 1.3691 1.7680
6.3681 3.8657 5.8526
```

Top 10 peaks for 5° ≤ 2θ ≤ 70°, in order of falling intensity:
2θ/deg  Rel. int.
21.22  100
21.59  82
27.20  82
34.26  39
27.06  29
21.76  27
30.81  27
59.22  20
45.13  20
63.52  19



Starting from a cell relaxed with PBE+U, the powder diffractogram of Sr2CaMoO6 was simulated for Cu Ka.
Lines closer than 0.1° are merged.

Atomic structure:
```
Sr2CaMoO6
1.0
5.8919 0.0000 0.0000
0.0000 8.3532 0.0000
0.0000 0.0000 5.9531
Sr Ca Mo O
4 2 2 12
Cartesian
0.0000 2.0519 0.0000
0.0000 6.3013 0.0000
2.9459 2.1001 3.1519
2.9459 6.2531 3.1519
0.0000 0.0000 3.1065
2.9459 4.1766 0.2741
0.0000 4.1766 3.2661
2.9459 0.0000 0.1719
0.0000 2.2360 3.3364
0.0000 6.1172 3.3364
1.3073 4.1766 4.7388
1.4464 4.1766 2.0122
1.5591 0.0000 1.5216
1.5890 0.0000 4.7250
2.9459 1.9365 0.2219
2.9459 6.4167 0.2219
4.3029 0.0000 4.7250
4.3328 0.0000 1.5216
4.4455 4.1766 2.0122
4.5846 4.1766 4.7388
```

Top 10 peaks for 5° ≤ 2θ ≤ 70°, in order of falling intensity:
2θ/deg  Rel. int.
30.22  100
43.21  36
53.82  29
30.34  25
30.02  25
62.85  21
43.33  19
53.43  18
18.30  11
53.61  9



Starting from a cell relaxed with PBE+U, the powder diffractogram of Sr2Ca2NdMn5O15 was simulated for Cu Ka.
Lines closer than 0.1° are merged.

Atomic structure:
```
Sr2Ca2NdMn5O15
1.0
5.4897 0.0000 0.0000
-2.3656 9.0723 0.0000
-2.6308 -2.2963 11.4945
Sr Ca Nd Mn O
4 4 2 10 30
Cartesian
0.0000 0.0000 0.0000
-2.3869 5.8700 6.8549
0.2310 1.8161 9.1451
2.8556 0.9030 4.5667
-2.3581 7.4637 3.3951
-2.3603 4.2772 10.2779
0.2245 3.4173 5.6758
2.8709 2.5002 1.1547
0.2671 4.9940 2.2446
2.8466 -0.6980 8.0281
-2.5061 2.6154 7.4371
-2.5089 1.0011 10.8968
0.1208 1.6855 2.8400
0.1208 0.1137 6.2665
0.1065 -1.5057 9.7568
0.3795 8.2923 1.6904
0.3695 6.6828 5.1194
0.3602 5.0707 8.5905
2.9927 5.7949 0.5360
2.9866 4.1900 3.9885
-1.2224 4.3330 0.3549
-2.1827 3.2053 5.6125
-2.7202 2.0705 9.2947
-1.1721 3.1449 3.0391
-3.6875 6.3859 9.1452
-1.2548 1.1441 7.1755
-1.0670 6.9426 1.1985
0.4524 2.3222 1.0334
-1.2290 -0.1115 9.9504
-0.0708 1.2268 4.7075
-1.0236 5.4460 4.4518
1.3602 0.2326 2.5899
-1.1206 3.8559 8.0415
0.3997 -0.9057 7.9154
1.3397 -1.0581 5.3326
2.5341 0.3178 0.1065
1.5063 4.5680 0.0164
-0.9730 6.1627 9.4916
1.5771 3.0007 3.3699
0.7063 7.2137 3.2949
1.6104 7.1278 0.7397
0.1524 6.1788 6.9854
1.5773 1.2486 6.8893
1.6293 5.2338 4.8767
1.6026 -0.2479 10.2565
0.7098 4.0889 10.2351
2.6930 5.2682 2.3901
1.5811 3.9178 7.6214
4.1624 0.4857 2.2874
4.1053 -1.1250 5.7516
```

Top 10 peaks for 5° ≤ 2θ ≤ 70°, in order of falling intensity:
2θ/deg  Rel. int.
32.63  100
33.37  56
59.15  26
45.69  23
47.88  18
47.96  17
57.74  17
68.40  16
59.22  16
40.55  13



Starting from a cell relaxed with PBE+U, the powder diffractogram of MgTi4Fe3O12 was simulated for Cu Ka.
Lines closer than 0.1° are merged.

Atomic structure:
```
MgTi4Fe3O12
1.0
-3.7534 3.7554 3.7642
3.7534 -3.7554 3.7642
3.7534 3.7554 -3.7642
Mg Ti Fe O
1 4 3 12
Cartesian
0.0000 0.0000 0.0000
1.8767 1.8777 -1.8821
1.8767 -1.8777 1.8821
-1.8767 1.8777 1.8821
1.8767 1.8777 1.8821
3.7534 0.0000 0.0000
0.0000 3.7554 0.0000
0.0000 0.0000 3.7642
3.7534 -1.5746 2.3874
2.2437 1.3858 0.0000
5.2631 1.3858 0.0000
2.3228 3.7554 -1.5038
1.4306 0.0000 2.2604
0.0000 2.1808 1.3768
3.7534 1.5746 2.3874
2.3228 3.7554 1.5038
1.4306 0.0000 5.2680
-1.5097 2.3696 3.7642
1.5097 2.3696 3.7642
0.0000 5.3300 1.3768
```

Top 10 peaks for 5° ≤ 2θ ≤ 70°, in order of falling intensity:
2θ/deg  Rel. int.
33.73  100
60.34  51
48.49  24
48.36  11
29.10  7
37.84  7
16.68  6
45.14  6
41.63  5
37.90  2



Starting from a cell relaxed with PBE+U, the powder diffractogram of Li2Fe3CoO8 was simulated for Cu Ka.
Lines closer than 0.1° are merged.

Atomic structure:
```
Li2Fe3CoO8
1.0
8.1154 0.0000 0.0000
0.0000 8.1154 0.0000
0.0000 0.0000 8.1154
Li Fe Co O
8 12 4 32
Cartesian
1.0199 1.0199 1.0199
2.0160 6.0994 2.0417
2.0417 2.0160 6.0994
3.0378 7.0955 5.0776
5.0776 3.0378 7.0955
6.0736 6.0736 6.0736
6.0994 2.0417 2.0160
7.0955 5.0776 3.0378
0.9773 5.0324 5.0882
0.9747 7.0848 7.1381
1.0305 3.0804 3.0830
3.0271 5.0349 7.1406
3.0830 1.0305 3.0804
3.0804 3.0830 1.0305
5.0324 5.0882 0.9773
5.0349 7.1406 3.0271
5.0882 0.9773 5.0324
7.0848 7.1381 0.9747
7.1381 0.9747 7.0848
7.1406 3.0271 5.0349
0.0442 8.0712 4.0135
4.0135 0.0442 8.0712
4.1019 4.1019 4.1019
8.0712 4.0135 0.0442
0.8457 7.0805 0.8532
0.8532 0.8457 7.0805
0.9308 3.1269 4.9884
0.9900 6.9437 5.1745
1.0348 4.9109 3.2120
1.0790 5.1366 7.0364
1.1168 3.0677 1.1717
1.1717 1.1168 3.0677
2.8860 6.9986 7.1254
2.9409 5.0476 5.2294
2.9787 2.9787 2.9787
3.0229 3.2045 7.2697
3.0677 1.1717 1.1168
3.1269 4.9884 0.9308
3.2045 7.2697 3.0229
3.2120 1.0348 4.9109
4.9034 5.0925 7.2622
4.9109 3.2120 1.0348
4.9884 0.9308 3.1269
5.0476 5.2294 2.9409
5.0925 7.2622 4.9034
5.1366 7.0364 1.0790
5.1745 0.9900 6.9437
5.2294 2.9409 5.0476
6.9437 5.1745 0.9900
6.9986 7.1254 2.8860
7.0364 1.0790 5.1366
7.0805 0.8532 0.8457
7.1254 2.8860 6.9986
7.1846 7.1846 7.1846
7.2622 4.9034 5.0925
7.2697 3.0229 3.2045
```

Top 10 peaks for 5° ≤ 2θ ≤ 70°, in order of falling intensity:
2θ/deg  Rel. int.
36.73  100
65.01  50
18.94  45
44.66  39
59.16  38
24.53  29
15.44  24
21.90  21
31.17  19
38.43  10